Diffraction record for Tb2Pd5Au2. The PXRD pattern is simulated, not measured: it uses a PBE-relaxed structure and Cu Kα (weighted mean of Kα1 and Kα2).
Intensities are scaled so that the largest is 100.

Structural model:
```
Tb2Pd5Au2
1.0
-7.2480 3.3315 3.7492
7.2480 -3.3315 3.7492
7.2480 3.3315 -3.7492
Tb Pd Au
4 10 4
direct
0.1446 0.1170 0.2616
0.1446 0.3830 0.5276
0.8554 0.6170 0.4724
0.8554 0.8830 0.7384
0.1913 0.5895 0.9227
0.1913 0.7686 0.1018
0.1990 0.0421 0.6569
0.3852 0.5421 0.3431
0.5131 0.1399 0.2898
0.5131 0.7233 0.8732
0.6668 0.0895 0.8982
0.6668 0.2686 0.0773
0.8501 0.2233 0.7102
0.8501 0.6399 0.1268
0.3546 0.3546 0.0000
0.3546 0.8546 0.5000
0.6655 0.4317 0.7338
0.6978 0.9317 0.2662
```

Top 10 peaks for 2θ from 10° to 90°, most intense first:
2theta  d (Å)  intensity
34.42  2.606  100
30.51  2.930  91
38.47  2.340  73
38.21  2.355  72
36.64  2.453  53
44.33  2.043  50
33.10  2.707  47
45.87  1.978  47
34.83  2.576  43
21.65  4.105  29



Diffraction record for Tb2Pd3Au. The PXRD pattern is simulated, not measured: it uses a PBE-relaxed structure and Cu Kα (weighted mean of Kα1 and Kα2).
Intensities are scaled so that the largest is 100.

Structural model:
```
Tb2Pd3Au
1.0
-5.0031 5.0031 5.3740
5.0031 -5.0031 5.3740
5.0031 5.0031 -5.3740
Tb Pd Au
8 12 4
direct
0.2224 0.2761 0.5536
0.2224 0.6688 0.9464
0.2761 0.2224 0.0536
0.3312 0.7776 0.5536
0.6688 0.2224 0.4464
0.7239 0.7776 0.9464
0.7776 0.3312 0.0536
0.7776 0.7239 0.4464
0.0000 0.5000 0.5000
0.1379 0.3879 0.2758
0.1379 0.8621 0.7500
0.3879 0.1379 0.7758
0.3879 0.6121 0.2500
0.5000 0.0000 0.0000
0.5000 0.5000 0.0000
0.5000 0.5000 0.5000
0.6121 0.3879 0.7500
0.6121 0.8621 0.2242
0.8621 0.1379 0.2500
0.8621 0.6121 0.7242
0.0074 0.2574 0.7500
0.2574 0.0074 0.2500
0.7426 0.9926 0.7500
0.9926 0.7426 0.2500
```

Top 10 peaks for 2θ from 10° to 90°, most intense first:
2theta  d (Å)  intensity
35.90  2.502  100
41.14  2.194  80
38.01  2.367  66
33.34  2.687  62
28.01  3.186  43
32.00  2.797  32
53.28  1.719  28
24.31  3.662  26
65.92  1.417  26
42.23  2.140  25



Diffraction record for TbPd6Au4. The PXRD pattern is simulated, not measured: it uses a PBE-relaxed structure and Cu Kα (weighted mean of Kα1 and Kα2).
Intensities are scaled so that the largest is 100.

Structural model:
```
TbPd6Au4
1.0
-3.2074 3.2074 5.2979
3.2074 -3.2074 5.2979
3.2074 3.2074 -5.2979
Tb Pd Au
1 6 4
direct
0.0000 0.0000 0.0000
0.0000 0.5000 0.5000
0.2451 0.2451 0.6815
0.4365 0.7549 0.0000
0.5000 0.0000 0.5000
0.5635 0.5635 0.3185
0.7549 0.4365 0.0000
0.0850 0.5750 0.0000
0.4250 0.4250 0.5100
0.5750 0.0850 0.0000
0.9150 0.9150 0.4900
```

Top 10 peaks for 2θ from 10° to 90°, most intense first:
2theta  d (Å)  intensity
32.64  2.744  100
39.39  2.287  98
39.74  2.268  84
48.03  1.894  68
44.35  2.042  57
27.82  3.207  49
25.86  3.446  47
78.07  1.224  42
57.20  1.611  37
67.67  1.385  35



Diffraction record for TePd4Au2. The PXRD pattern is simulated, not measured: it uses a PBE-relaxed structure and Cu Kα (weighted mean of Kα1 and Kα2).
Intensities are scaled so that the largest is 100.

Structural model:
```
TePd4Au2
1.0
6.9492 0.0000 0.0000
-0.5120 6.9372 0.0000
-3.1640 -3.5118 5.2425
Te Pd Au
2 8 4
direct
0.0000 0.0000 0.0000
0.0658 0.5665 0.5000
0.1564 0.4379 0.1237
0.2425 0.3565 0.7275
0.3146 0.0328 0.8765
0.4314 0.2540 0.4039
0.6283 0.5148 0.2718
0.7729 0.1238 0.2337
0.8500 0.0270 0.5956
0.8896 0.5394 0.7669
0.1163 0.8879 0.3592
0.4172 0.8002 0.1462
0.5286 0.7564 0.6409
0.6538 0.2704 0.8534
```

Top 10 peaks for 2θ from 10° to 90°, most intense first:
2theta  d (Å)  intensity
39.56  2.278  100
39.87  2.261  63
38.41  2.344  49
37.91  2.373  43
39.41  2.287  31
40.02  2.253  27
40.21  2.243  27
38.85  2.318  25
30.85  2.899  21
28.71  3.110  18